Entry 1:
Diffraction record for CsMn2P6O18. The powder diffraction line list is theoretical, not measured: it uses DFT lattice parameters and positions (PBE+U) and Cu Kα (λ = 1.5418 Å).
Neutral-atom scattering factors, no anomalous dispersion.

Structural model:
a b c (Å): 8.6701 8.6701 6.3932
angles (deg): 104.24 104.24 104.04
Atoms (fractional coordinates):
Cs: 0.0000 0.0000 0.0000
Mn: 0.1699 0.7196 0.5322
Mn: 0.7196 0.1699 0.5322
P: 0.1312 0.3518 0.6347
P: 0.2312 0.6601 0.0350
P: 0.3518 0.1312 0.6347
P: 0.5388 0.7598 0.4354
P: 0.6601 0.2312 0.0350
P: 0.7598 0.5388 0.4354
O: 0.1234 0.4597 0.4841
O: 0.1306 0.6807 0.1953
O: 0.1829 0.4637 0.9012
O: 0.2015 0.9830 0.5865
O: 0.2103 0.7596 0.8729
O: 0.2954 0.2954 0.6364
O: 0.4273 0.7080 0.1687
O: 0.4281 0.7662 0.5826
O: 0.4597 0.1234 0.4841
O: 0.4637 0.1829 0.9012
O: 0.5960 0.5960 0.4331
O: 0.6807 0.1306 0.1953
O: 0.6888 0.9096 0.4878
O: 0.7080 0.4273 0.1687
O: 0.7596 0.2103 0.8729
O: 0.7662 0.4281 0.5826
O: 0.9096 0.6888 0.4878
O: 0.9830 0.2015 0.5865

Principal peaks in the range 10 to 80 degrees two-theta, by angle:
d 7.955, rel. 39; d 4.891, rel. 44; d 4.820, rel. 81; d 4.124, rel. 100; d 3.977, rel. 40; d 3.939, rel. 50; d 3.681, rel. 73; d 3.174, rel. 55; d 3.095, rel. 29; d 2.952, rel. 30; d 2.930, rel. 54; d 2.801, rel. 87



Entry 2:
Diffraction record for CsMn2P6O18. The powder diffraction line list is theoretical, not measured: it uses DFT lattice parameters and positions (PBE+U) and Cu Kα (λ = 1.5418 Å).
Neutral-atom scattering factors, no anomalous dispersion.

Structural model:
a b c (Å): 9.2938 9.3308 10.5880
angles (deg): 71.41 73.20 88.42
Atoms (fractional coordinates):
Cs: 0.0000 0.0000 0.0000
Cs: 0.0006 0.0002 0.4993
Mn: 0.0105 0.5073 0.4930
Mn: 0.0104 0.5073 0.9930
Mn: 0.5096 0.0075 0.4935
Mn: 0.5095 0.0074 0.9933
P: 0.2191 0.4603 0.6932
P: 0.2198 0.4592 0.1919
P: 0.2610 0.7487 0.7466
P: 0.2617 0.7474 0.2446
P: 0.4612 0.2346 0.1922
P: 0.4609 0.2353 0.6933
P: 0.5601 0.7793 0.2934
P: 0.5597 0.7799 0.7946
P: 0.7592 0.2677 0.7420
P: 0.7598 0.2665 0.2400
P: 0.8013 0.5544 0.2938
P: 0.8005 0.5556 0.7949
O: 0.1020 0.4003 0.8326
O: 0.1046 0.3988 0.3323
O: 0.1155 0.7084 0.3645
O: 0.1149 0.7097 0.8664
O: 0.1815 0.4471 0.0653
O: 0.1823 0.4491 0.5657
O: 0.2705 0.6350 0.6584
O: 0.2705 0.6343 0.1561
O: 0.2831 0.9053 0.1441
O: 0.2828 0.9064 0.6455
O: 0.3746 0.3880 0.6955
O: 0.3765 0.3886 0.1915
O: 0.3942 0.7071 0.8153
O: 0.3954 0.7054 0.3126
O: 0.4026 0.1155 0.3323
O: 0.4026 0.1145 0.8325
O: 0.4663 0.2007 0.0626
O: 0.4673 0.2029 0.5628
O: 0.5553 0.8128 0.4231
O: 0.5563 0.8145 0.9235
O: 0.6191 0.8982 0.6538
O: 0.6192 0.8990 0.1535
O: 0.6250 0.3107 0.6749
O: 0.6259 0.3091 0.1723
O: 0.6430 0.6249 0.7959
O: 0.6450 0.6255 0.2924
O: 0.7381 0.1084 0.3405
O: 0.7377 0.1095 0.8420
O: 0.7515 0.3802 0.8310
O: 0.7515 0.3795 0.3287
O: 0.8387 0.5665 0.4207
O: 0.8391 0.5687 0.9211
O: 0.9055 0.3055 0.1198
O: 0.9051 0.3067 0.6217
O: 0.9150 0.6170 0.6540
O: 0.9175 0.6155 0.1538

Principal peaks in the range 10 to 80 degrees two-theta, by angle:
d 6.492, rel. 33; d 4.073, rel. 48; d 3.947, rel. 100; d 3.878, rel. 86; d 3.849, rel. 86; d 3.776, rel. 43; d 3.734, rel. 42; d 3.023, rel. 19; d 2.936, rel. 24; d 2.864, rel. 41; d 2.606, rel. 19; d 2.560, rel. 18



Entry 3:
Diffraction record for CsMn2P6O18. The powder diffraction line list is theoretical, not measured: it uses DFT lattice parameters and positions (PBE+U) and Cu Kα (λ = 1.5418 Å).
Neutral-atom scattering factors, no anomalous dispersion.

Structural model:
a b c (Å): 5.2841 9.2163 9.2187
angles (deg): 89.21 74.14 74.45
Atoms (fractional coordinates):
Cs: 0.0000 0.0000 0.0000
Mn: 0.5000 0.0000 0.5000
Mn: 0.5000 0.5000 0.0000
P: 0.0674 0.5484 0.7831
P: 0.0670 0.7821 0.5489
P: 0.4998 0.2538 0.7470
P: 0.5002 0.7462 0.2530
P: 0.9330 0.2179 0.4511
P: 0.9326 0.4516 0.2169
O: 0.1481 0.6273 0.6282
O: 0.1695 0.9001 0.6071
O: 0.1697 0.6065 0.9010
O: 0.2303 0.1831 0.4458
O: 0.2312 0.4461 0.1812
O: 0.2414 0.3783 0.7213
O: 0.2433 0.7194 0.3787
O: 0.4592 0.1023 0.7180
O: 0.4595 0.7151 0.1019
O: 0.5405 0.2849 0.8981
O: 0.5408 0.8977 0.2820
O: 0.7567 0.2806 0.6213
O: 0.7587 0.6217 0.2787
O: 0.7688 0.5539 0.8188
O: 0.7697 0.8169 0.5542
O: 0.8303 0.3935 0.0990
O: 0.8305 0.0999 0.3929
O: 0.8519 0.3727 0.3718

Principal peaks in the range 10 to 80 degrees two-theta, by angle:
d 6.473, rel. 18; d 4.890, rel. 17; d 4.428, rel. 18; d 4.066, rel. 25; d 3.900, rel. 100; d 3.862, rel. 52; d 3.767, rel. 47; d 2.952, rel. 12; d 2.853, rel. 38; d 2.689, rel. 12; d 2.543, rel. 16; d 2.444, rel. 12



Entry 4:
Diffraction record for Cs3Mn4P12O36. The powder diffraction line list is theoretical, not measured: it uses DFT lattice parameters and positions (PBE+U) and Cu Kα (λ = 1.5418 Å).
Neutral-atom scattering factors, no anomalous dispersion.

Structural model:
a b c (Å): 9.6841 9.6841 12.6266
angles (deg): 120.82 120.82 63.41
Atoms (fractional coordinates):
Cs: 0.0000 0.0000 0.0000
Cs: 0.2158 0.7842 0.5000
Cs: 0.7842 0.2158 0.5000
Mn: 0.2082 0.2082 0.9115
Mn: 0.2506 0.2506 0.4272
Mn: 0.7494 0.7494 0.5728
Mn: 0.7918 0.7918 0.0885
P: 0.1650 0.5813 0.6997
P: 0.1978 0.6065 0.1284
P: 0.2380 0.2380 0.6752
P: 0.3332 0.3332 0.2268
P: 0.3935 0.8022 0.8716
P: 0.4187 0.8350 0.3003
P: 0.5813 0.1650 0.6997
P: 0.6065 0.1978 0.1284
P: 0.6668 0.6668 0.7732
P: 0.7620 0.7620 0.3248
P: 0.8022 0.3935 0.8716
P: 0.8350 0.4187 0.3003
O: 0.0050 0.7060 0.7098
O: 0.0547 0.7507 0.1560
O: 0.1744 0.1744 0.7251
O: 0.1772 0.1772 0.5265
O: 0.1776 0.4733 0.9936
O: 0.1861 0.4362 0.7397
O: 0.1996 0.5087 0.5756
O: 0.2304 0.2304 0.0926
O: 0.2493 0.9453 0.8440
O: 0.2745 0.5241 0.2391
O: 0.2940 0.9950 0.2902
O: 0.3199 0.6534 0.8285
O: 0.3389 0.3389 0.3496
O: 0.3466 0.6801 0.1715
O: 0.4362 0.1861 0.7397
O: 0.4733 0.1776 0.9936
O: 0.4759 0.7255 0.7609
O: 0.4913 0.8004 0.4244
O: 0.5087 0.1996 0.5756
O: 0.5241 0.2745 0.2391
O: 0.5267 0.8224 0.0064
O: 0.5638 0.8139 0.2603
O: 0.6534 0.3199 0.8285
O: 0.6611 0.6611 0.6504
O: 0.6801 0.3466 0.1715
O: 0.7060 0.0050 0.7098
O: 0.7255 0.4759 0.7609
O: 0.7507 0.0547 0.1560
O: 0.7696 0.7696 0.9074
O: 0.8004 0.4913 0.4244
O: 0.8139 0.5638 0.2603
O: 0.8224 0.5267 0.0064
O: 0.8228 0.8228 0.4735
O: 0.8256 0.8256 0.2749
O: 0.9453 0.2493 0.8440
O: 0.9950 0.2940 0.2902

Principal peaks in the range 10 to 80 degrees two-theta, by angle:
d 4.543, rel. 22; d 4.182, rel. 33; d 4.111, rel. 55; d 4.025, rel. 100; d 3.702, rel. 25; d 3.338, rel. 56; d 3.272, rel. 25; d 3.231, rel. 51; d 3.181, rel. 30; d 3.092, rel. 53; d 3.010, rel. 75; d 2.546, rel. 25